# 1
This entry pairs a crystal structure of CoSbTe with its simulated XRD peak list. Radiation: Cu Kα (weighted mean of Kα1 and Kα2). Structure: a structure optimized by DFT (GGA-PBE).
No peak broadening, texture or thermal motion is included.

Cell and atoms:
Unit cell a=5.3169 b=3.8212 c=6.2603 alpha=90.00 beta=91.25 gamma=90.00
Fractional coordinates of all 6 atoms:
Co (0.0000, 0.0000, 0.0000)
Co (0.5000, 0.5000, 0.5000)
Sb (0.2187, 0.0000, 0.6378)
Sb (0.7813, 0.0000, 0.3622)
Te (0.2746, 0.5000, 0.1431)
Te (0.7254, 0.5000, 0.8569)

Main lines, in order of rising 2θ (10° ≤ 2θ ≤ 80°):
Position (°2θ)  I/Imax
27.35  36
28.77  41
32.03  100
32.37  90
32.89  73
33.55  68
33.72  34
43.69  48
44.21  59
47.59  43
49.80  61
59.06  47

# 2
This entry pairs a crystal structure of VCoSb with its simulated XRD peak list. Radiation: Cu Kα (weighted mean of Kα1 and Kα2). Structure: a structure optimized by DFT (GGA-PBE).
No peak broadening, texture or thermal motion is included.

Cell and atoms:
Unit cell a=4.4881 b=4.4881 c=5.2346 alpha=90.00 beta=90.00 gamma=120.00
Fractional coordinates of all 6 atoms:
V (0.3333, 0.6667, 0.2500)
V (0.6667, 0.3333, 0.7500)
Co (0.0000, 0.0000, 0.0000)
Co (0.0000, 0.0000, 0.5000)
Sb (0.3333, 0.6667, 0.7500)
Sb (0.6667, 0.3333, 0.2500)

Main lines, in order of rising 2θ (10° ≤ 2θ ≤ 80°):
Position (°2θ)  I/Imax
28.60  34
34.26  11
40.19  100
41.60  72
50.07  8
53.81  18
57.93  5
59.22  24
66.05  7
72.18  5
73.03  16
73.99  24

# 3
This entry pairs a crystal structure of VCoSb with its simulated XRD peak list. Radiation: Cu Kα (weighted mean of Kα1 and Kα2). Structure: a structure optimized by DFT (GGA-PBE).
No peak broadening, texture or thermal motion is included.

Cell and atoms:
Unit cell a=5.8272 b=5.8272 c=5.8272 alpha=90.00 beta=90.00 gamma=90.00
Fractional coordinates of all 12 atoms:
V (0.0000, 0.0000, 0.0000)
V (0.0000, 0.5000, 0.5000)
V (0.5000, 0.0000, 0.5000)
V (0.5000, 0.5000, 0.0000)
Co (0.2500, 0.2500, 0.7500)
Co (0.2500, 0.7500, 0.2500)
Co (0.7500, 0.2500, 0.2500)
Co (0.7500, 0.7500, 0.7500)
Sb (0.0000, 0.0000, 0.5000)
Sb (0.0000, 0.5000, 0.0000)
Sb (0.5000, 0.0000, 0.0000)
Sb (0.5000, 0.5000, 0.5000)

Main lines, in order of rising 2θ (10° ≤ 2θ ≤ 80°):
Position (°2θ)  I/Imax
26.49  43
30.69  30
43.95  100
52.05  20
54.55  8
63.90  15
70.43  8
72.55  10

# 4
This entry pairs a crystal structure of Zr5CoSb3 with its simulated XRD peak list. Radiation: Cu Kα (weighted mean of Kα1 and Kα2). Structure: a structure optimized by DFT (GGA-PBE).
No peak broadening, texture or thermal motion is included.

Cell and atoms:
Unit cell a=8.6487 b=8.6487 c=5.7901 alpha=90.00 beta=90.00 gamma=120.00
Fractional coordinates of all 18 atoms:
Zr (0.0000, 0.2501, 0.2500)
Zr (0.0000, 0.7499, 0.7500)
Zr (0.2501, 0.0000, 0.2500)
Zr (0.2501, 0.2501, 0.7500)
Zr (0.3333, 0.6667, 0.0000)
Zr (0.3333, 0.6667, 0.5000)
Zr (0.6667, 0.3333, 0.0000)
Zr (0.6667, 0.3333, 0.5000)
Zr (0.7499, 0.0000, 0.7500)
Zr (0.7499, 0.7499, 0.2500)
Co (0.0000, 0.0000, 0.0000)
Co (0.0000, 0.0000, 0.5000)
Sb (0.0000, 0.3902, 0.7500)
Sb (0.0000, 0.6098, 0.2500)
Sb (0.3902, 0.0000, 0.7500)
Sb (0.3902, 0.3902, 0.2500)
Sb (0.6098, 0.0000, 0.2500)
Sb (0.6098, 0.6098, 0.7500)

Main lines, in order of rising 2θ (10° ≤ 2θ ≤ 80°):
Position (°2θ)  I/Imax
30.89  17
31.60  11
35.29  100
35.97  71
37.38  97
44.75  11
46.44  21
52.85  23
57.82  23
66.05  13
70.82  13
75.99  15

# 5
This entry pairs a crystal structure of Sc4Co with its simulated XRD peak list. Radiation: Cu Kα (weighted mean of Kα1 and Kα2). Structure: a structure optimized by DFT (GGA-PBE).
No peak broadening, texture or thermal motion is included.

Cell and atoms:
Unit cell a=6.9485 b=6.9485 c=6.9485 alpha=60.00 beta=60.00 gamma=60.00
Fractional coordinates of all 10 atoms:
Sc (0.2155, 0.7615, 0.7615)
Sc (0.2385, 0.2385, 0.2385)
Sc (0.2385, 0.2385, 0.7845)
Sc (0.2385, 0.7845, 0.2385)
Sc (0.7615, 0.2155, 0.7615)
Sc (0.7615, 0.7615, 0.2155)
Sc (0.7615, 0.7615, 0.7615)
Sc (0.7845, 0.2385, 0.2385)
Co (0.3750, 0.3750, 0.3750)
Co (0.6250, 0.6250, 0.6250)

Main lines, in order of rising 2θ (10° ≤ 2θ ≤ 80°):
Position (°2θ)  I/Imax
15.62  11
25.64  37
30.16  16
31.54  100
36.58  19
39.99  28
45.20  12
48.11  22
52.69  53
62.72  29
71.90  8
79.91  8

# 6
This entry pairs a crystal structure of ScCo with its simulated XRD peak list. Radiation: Cu Kα (weighted mean of Kα1 and Kα2). Structure: a structure optimized by DFT (GGA-PBE).
No peak broadening, texture or thermal motion is included.

Cell and atoms:
Unit cell a=3.1195 b=3.1195 c=3.1195 alpha=90.00 beta=90.00 gamma=90.00
Fractional coordinates of all 2 atoms:
Sc (0.0000, 0.0000, 0.0000)
Co (0.5000, 0.5000, 0.5000)

Main lines, in order of rising 2θ (10° ≤ 2θ ≤ 80°):
Position (°2θ)  I/Imax
28.62  4
40.91  100
50.69  1
59.24  15
67.09  1
74.51  29

# 7
This entry pairs a crystal structure of Sc2Co with its simulated XRD peak list. Radiation: Cu Kα (weighted mean of Kα1 and Kα2). Structure: a structure optimized by DFT (GGA-PBE).
No peak broadening, texture or thermal motion is included.

Cell and atoms:
Unit cell a=6.3002 b=6.3002 c=5.6406 alpha=90.00 beta=90.00 gamma=90.00
Fractional coordinates of all 12 atoms:
Sc (0.1778, 0.3222, 0.0000)
Sc (0.1778, 0.6778, 0.5000)
Sc (0.3222, 0.1778, 0.5000)
Sc (0.3222, 0.8222, 0.0000)
Sc (0.6778, 0.1778, 0.0000)
Sc (0.6778, 0.8222, 0.5000)
Sc (0.8222, 0.3222, 0.5000)
Sc (0.8222, 0.6778, 0.0000)
Co (0.0000, 0.0000, 0.2500)
Co (0.0000, 0.0000, 0.7500)
Co (0.5000, 0.5000, 0.2500)
Co (0.5000, 0.5000, 0.7500)

Main lines, in order of rising 2θ (10° ≤ 2θ ≤ 80°):
Position (°2θ)  I/Imax
19.93  56
35.62  100
37.75  67
40.50  40
43.05  98
45.53  60
59.07  20
63.03  24
66.32  20
68.20  11
71.85  29
75.43  6

# 8
This entry pairs a crystal structure of Sc6Co16Si7 with its simulated XRD peak list. Radiation: Cu Kα (weighted mean of Kα1 and Kα2). Structure: a structure optimized by DFT (GGA-PBE).
No peak broadening, texture or thermal motion is included.

Cell and atoms:
Unit cell a=8.0683 b=8.0683 c=8.0683 alpha=60.00 beta=60.00 gamma=60.00
Fractional coordinates of all 29 atoms:
Sc (0.2128, 0.2128, 0.7872)
Sc (0.2128, 0.7872, 0.2128)
Sc (0.2128, 0.7872, 0.7872)
Sc (0.7872, 0.2128, 0.2128)
Sc (0.7872, 0.2128, 0.7872)
Sc (0.7872, 0.7872, 0.2128)
Co (0.1388, 0.6204, 0.6204)
Co (0.1736, 0.1736, 0.1736)
Co (0.1736, 0.1736, 0.4793)
Co (0.1736, 0.4793, 0.1736)
Co (0.3796, 0.3796, 0.3796)
Co (0.3796, 0.3796, 0.8612)
Co (0.3796, 0.8612, 0.3796)
Co (0.4793, 0.1736, 0.1736)
Co (0.5207, 0.8264, 0.8264)
Co (0.6204, 0.1388, 0.6204)
Co (0.6204, 0.6204, 0.1388)
Co (0.6204, 0.6204, 0.6204)
Co (0.8264, 0.5207, 0.8264)
Co (0.8264, 0.8264, 0.5207)
Co (0.8264, 0.8264, 0.8264)
Co (0.8612, 0.3796, 0.3796)
Si (0.0000, 0.0000, 0.5000)
Si (0.0000, 0.5000, 0.0000)
Si (0.0000, 0.5000, 0.5000)
Si (0.5000, 0.0000, 0.0000)
Si (0.5000, 0.0000, 0.5000)
Si (0.5000, 0.5000, 0.0000)
Si (0.5000, 0.5000, 0.5000)

Main lines, in order of rising 2θ (10° ≤ 2θ ≤ 80°):
Position (°2θ)  I/Imax
13.44  20
15.53  31
38.66  13
41.11  72
44.94  100
47.12  41
47.83  13
50.59  15
52.60  26
69.96  13
71.62  10
75.98  10